[1]
For Na4SbAsPt2, a cell relaxed with PBE gives the theoretical powder diffraction line list in this record (a wavelength of 1.5418 Å).
Peak positions follow from Bragg's law for the DFT cell and can differ from measured ones.

Largest 12 diffraction maxima, in order of rising 2θ, 2θ from 10° to 90°:
- (0 1 1), 2θ = 16.00°, I = 100
- (0 2 0), 2θ = 19.44°, I = 98
- (1 1 1), 2θ = 22.57°, I = 25
- (0 3 1), 2θ = 32.09°, I = 29
- (2 1 1), 2θ = 35.93°, I = 93
- (0 4 0), 2θ = 39.47°, I = 20
- (0 1 3), 2θ = 40.04°, I = 41
- (2 0 2), 2θ = 41.35°, I = 37
- (2 3 1), 2θ = 45.91°, I = 27
- (2 2 2), 2θ = 46.08°, I = 40
- (2 4 2), 2θ = 58.49°, I = 22
- (2 5 1), 2θ = 62.11°, I = 16

Cell: 5.604 9.132 6.971 Å, 90.00 90.00 90.00°
Space group Amm2 (No. 38)
Inequivalent atoms, fractional coordinates:
Na: 0.000 0.180 0.000 [4 per cell]
Na: 0.500 0.188 0.334 [4 per cell]
Sb: 0.000 0.000 0.369 [2 per cell]
As: 0.500 0.000 0.973 [2 per cell]
Pt: 0.252 0.000 0.685 [4 per cell]


[2]
For Re3S4I, a cell relaxed with PBE gives the theoretical powder diffraction line list in this record (a wavelength of 1.5418 Å).
Peak positions follow from Bragg's law for the DFT cell and can differ from measured ones.

Largest 12 diffraction maxima, in order of rising 2θ, 2θ from 10° to 90°:
- (0 1 1), 2θ = 11.43°, I = 100
- (0 2 0), 2θ = 15.02°, I = 16
- (1 0 0), 2θ = 15.21°, I = 30
- (1 1 -1), 2θ = 15.86°, I = 19
- (0 0 2), 2θ = 17.29°, I = 11
- (1 2 2), 2θ = 31.59°, I = 11
- (1 1 3), 2θ = 36.41°, I = 8
- (2 3 -3), 2θ = 38.52°, I = 10
- (1 4 2), 2θ = 41.45°, I = 8
- (1 5 -2), 2θ = 42.29°, I = 13
- (3 1 -1), 2θ = 44.35°, I = 8
- (2 5 -2), 2θ = 48.06°, I = 6

Cell: 6.424 11.796 11.320 Å, 90.00 114.97 90.00°
Space group P2_1/c (No. 14)
Inequivalent atoms, fractional coordinates:
Re: 0.042 0.147 0.455 [4 per cell]
Re: 0.045 0.053 0.663 [4 per cell]
Re: 0.310 0.527 0.060 [4 per cell]
S: 0.207 0.706 0.949 [4 per cell]
S: 0.269 0.068 0.350 [4 per cell]
S: 0.290 0.611 0.247 [4 per cell]
S: 0.367 0.156 0.665 [4 per cell]
I: 0.129 0.126 0.915 [4 per cell]


[3]
For Al6AsH6Ir, a cell relaxed with PBE gives the theoretical powder diffraction line list in this record (a wavelength of 1.5418 Å).
Peak positions follow from Bragg's law for the DFT cell and can differ from measured ones.

Largest 12 diffraction maxima, in order of rising 2θ, 2θ from 10° to 90°:
- (1 1 1), 2θ = 17.05°, I = 100
- (2 0 0), 2θ = 19.71°, I = 41
- (2 2 0), 2θ = 28.01°, I = 60
- (3 1 1), 2θ = 32.97°, I = 76
- (4 0 0), 2θ = 40.03°, I = 46
- (3 3 1), 2θ = 43.80°, I = 43
- (4 2 0), 2θ = 45.00°, I = 19
- (4 2 2), 2θ = 49.57°, I = 24
- (3 3 3), 2θ = 52.80°, I = 23
- (4 4 0), 2θ = 57.90°, I = 30
- (5 3 1), 2θ = 60.83°, I = 21
- (7 3 1), 2θ = 82.18°, I = 20

Cell: 9.009 9.009 9.009 Å, 90.00 90.00 90.00°
Space group F-43m (No. 216)
Inequivalent atoms, fractional coordinates:
Al: 0.000 0.000 0.230 [24 per cell]
As: 0.250 0.250 0.250 [4 per cell]
H: 0.059 0.250 0.250 [24 per cell]
Ir: 0.000 0.000 0.500 [4 per cell]


[4]
For Ni5P2, a cell relaxed with PBE gives the theoretical powder diffraction line list in this record (a wavelength of 1.5418 Å).
Peak positions follow from Bragg's law for the DFT cell and can differ from measured ones.

Largest 12 diffraction maxima, in order of rising 2θ, 2θ from 10° to 90°:
- (2 0 2), 2θ = 34.83°, I = 12
- (1 1 3), 2θ = 35.13°, I = 13
- (2 1 1), 2θ = 42.75°, I = 35
- (2 0 4), 2θ = 43.50°, I = 39
- (2 1 2), 2θ = 44.73°, I = 12
- (1 1 5), 2θ = 46.33°, I = 100
- (2 1 3), 2θ = 47.89°, I = 11
- (3 0 0), 2θ = 48.04°, I = 79
- (2 1 4), 2θ = 52.06°, I = 15
- (3 1 1), 2θ = 59.11°, I = 9
- (2 2 5), 2θ = 68.95°, I = 11
- (3 2 4), 2θ = 80.04°, I = 15

Cell: 6.5609 6.5609 12.2175 Å, 90.00 90.00 120.00°
Space group P6_3cm (No. 185)
Inequivalent atoms, fractional coordinates:
Ni: 0.0000 0.0000 0.0128 [2 per cell]
Ni: 0.0000 0.2349 0.6847 [6 per cell]
Ni: 0.0000 0.3070 0.8922 [6 per cell]
Ni: 0.0000 0.3827 0.2827 [6 per cell]
Ni: 0.0000 0.3842 0.5000 [6 per cell]
Ni: 0.3333 0.6667 0.1498 [4 per cell]
P: 0.0000 0.0000 0.3203 [2 per cell]
P: 0.0000 0.3246 0.0856 [6 per cell]
P: 0.3333 0.6667 0.3554 [4 per cell]


[5]
For BaTaN2O, a cell relaxed with PBE gives the theoretical powder diffraction line list in this record (a wavelength of 1.5418 Å).
Peak positions follow from Bragg's law for the DFT cell and can differ from measured ones.

Largest 12 diffraction maxima, in order of rising 2θ, 2θ from 10° to 90°:
- (2 0 0), 2θ = 11.95°, I = 34
- (2 0 2), 2θ = 28.16°, I = 76
- (1 1 -2), 2θ = 28.83°, I = 64
- (3 1 -2), 2θ = 29.29°, I = 100
- (3 1 0), 2θ = 29.53°, I = 44
- (6 0 -2), 2θ = 29.98°, I = 64
- (4 0 -4), 2θ = 32.58°, I = 47
- (5 1 0), 2θ = 38.43°, I = 43
- (1 1 -4), 2θ = 43.59°, I = 36
- (9 1 -4), 2θ = 52.64°, I = 28
- (2 2 2), 2θ = 56.15°, I = 27
- (7 1 -6), 2θ = 56.38°, I = 24

Cell: 17.891 3.827 11.018 Å, 90.00 124.14 90.00°
Space group C2/c (No. 15)
Inequivalent atoms, fractional coordinates:
Ba: 0.072 0.004 0.181 [8 per cell]
Ta: 0.194 0.497 0.554 [8 per cell]
N: 0.067 0.487 0.951 [8 per cell]
N: 0.241 0.249 0.748 [8 per cell]
O: 0.198 0.002 0.475 [8 per cell]


[6]
For Ta4Pt5Pb5, a cell relaxed with PBE gives the theoretical powder diffraction line list in this record (a wavelength of 1.5418 Å).
Peak positions follow from Bragg's law for the DFT cell and can differ from measured ones.

Largest 12 diffraction maxima, in order of rising 2θ, 2θ from 10° to 90°:
- (2 1 1), 2θ = 24.28°, I = 38
- (0 0 2), 2θ = 28.02°, I = 5
- (1 3 0), 2θ = 28.16°, I = 8
- (3 2 1), 2θ = 35.23°, I = 9
- (1 3 2), 2θ = 40.17°, I = 100
- (2 1 3), 2θ = 47.38°, I = 8
- (3 4 1), 2θ = 47.56°, I = 10
- (0 0 4), 2θ = 57.92°, I = 5
- (2 6 0), 2θ = 58.22°, I = 9
- (4 2 4), 2θ = 72.88°, I = 9
- (5 5 2), 2θ = 73.07°, I = 16
- (2 6 4), 2θ = 86.69°, I = 5

Cell: 10.023 10.023 6.369 Å, 90.00 90.00 90.00°
Space group I-4 (No. 82)
Inequivalent atoms, fractional coordinates:
Ta: 0.098 0.303 0.005 [8 per cell]
Pt: 0.000 0.500 0.750 [2 per cell]
Pt: 0.110 0.780 0.215 [8 per cell]
Pb: 0.000 0.000 0.000 [2 per cell]
Pb: 0.080 0.271 0.516 [8 per cell]


[7]
For DyYCd4, a cell relaxed with PBE gives the theoretical powder diffraction line list in this record (a wavelength of 1.5418 Å).
Peak positions follow from Bragg's law for the DFT cell and can differ from measured ones.

Largest 12 diffraction maxima, in order of rising 2θ, 2θ from 10° to 90°:
- (1 1 1), 2θ = 33.61°, I = 100
- (0 2 0), 2θ = 36.31°, I = 88
- (1 2 0), 2θ = 45.30°, I = 8
- (1 0 4), 2θ = 50.31°, I = 31
- (2 0 0), 2θ = 53.82°, I = 10
- (1 3 1), 2θ = 63.61°, I = 30
- (0 3 3), 2θ = 65.33°, I = 15
- (2 2 0), 2θ = 66.66°, I = 29
- (0 4 0), 2θ = 77.10°, I = 9
- (1 1 7), 2θ = 86.78°, I = 13
- (3 1 1), 2θ = 89.22°, I = 6
- (2 3 3), 2θ = 89.55°, I = 13

Cell: 3.407 4.948 8.570 Å, 90.00 90.02 90.00°
Space group P2/m (No. 10)
Inequivalent atoms, fractional coordinates:
Dy: 0.000 0.000 0.000 [1 per cell]
Y: 0.000 0.500 0.500 [1 per cell]
Cd: 0.494 0.500 0.166 [2 per cell]
Cd: 0.495 0.000 0.667 [2 per cell]


[8]
For SrFeCoAs2, a cell relaxed with PBE gives the theoretical powder diffraction line list in this record (a wavelength of 1.5418 Å).
Peak positions follow from Bragg's law for the DFT cell and can differ from measured ones.

Largest 12 diffraction maxima, in order of rising 2θ, 2θ from 10° to 90°:
- (0 0 2), 2θ = 14.97°, I = 16
- (1 0 3), 2θ = 32.24°, I = 100
- (1 1 0), 2θ = 32.40°, I = 14
- (1 1 2), 2θ = 35.87°, I = 43
- (1 0 5), 2θ = 44.76°, I = 10
- (1 1 4), 2θ = 44.88°, I = 21
- (2 0 0), 2θ = 46.48°, I = 44
- (1 1 6), 2θ = 57.39°, I = 34
- (2 1 3), 2θ = 57.70°, I = 37
- (2 2 0), 2θ = 67.84°, I = 14
- (3 0 3), 2θ = 77.13°, I = 10
- (2 0 8), 2θ = 81.63°, I = 11

Cell: 3.908 3.908 11.836 Å, 90.00 90.00 90.00°
Space group I-4m2 (No. 119)
Inequivalent atoms, fractional coordinates:
Sr: 0.000 0.000 0.000 [2 per cell]
Fe: 0.000 0.500 0.250 [2 per cell]
Co: 0.000 0.500 0.750 [2 per cell]
As: 0.000 0.000 0.356 [4 per cell]


> Number 6 is which compound?

Ta4Pt5Pb5